Entry 1:
This entry pairs a crystal structure of Tm2Cd5 with its computed X-ray diffraction stick pattern. Radiation: Cu Kα X-rays. Structure: a cell relaxed with GGA-PBE.
No peak broadening, texture or thermal motion is included.

Most intense lines, 10° ≤ 2θ ≤ 90°, in order of falling intensity:
(hkl), 2theta, d_spacing, I (rel.)
2 0 2, 36.83, 2.441, 100.0
0 4 2, 37.79, 2.381, 98.1
2 4 0, 35.44, 2.533, 92.9
1 1 2, 30.68, 2.914, 36.2
3 5 2, 57.43, 1.604, 31.7
3 1 0, 37.17, 2.419, 30.5
1 5 0, 34.37, 2.609, 28.3
2 4 4, 68.49, 1.370, 25.7
0 0 2, 27.38, 3.258, 19.9
0 0 4, 56.50, 1.629, 19.0
4 4 2, 63.89, 1.457, 17.5
2 8 2, 65.82, 1.419, 16.1

Structure:
```
data_Tm2Cd5
_chemical_formula_sum 'Tm8 Cd20'
_symmetry_space_group_name_H-M 'I b a m'
_symmetry_Int_Tables_number 72
_symmetry_space_group_name_Hall '-I 2 2c'
_cell_length_a 7.3692
_cell_length_b 13.9501
_cell_length_c 6.5153
_cell_angle_alpha 90.00
_cell_angle_beta 90.00
_cell_angle_gamma 90.00
loop_
_atom_site_label
_atom_site_type_symbol
_atom_site_fract_x
_atom_site_fract_y
_atom_site_fract_z
Tm1 Tm 0.1847 0.0992 0.0000
Cd1 Cd 0.0000 0.2676 0.2500
Cd2 Cd 0.0000 0.5000 0.2500
Cd3 Cd 0.2338 0.1243 0.5000
```



Entry 2:
This entry pairs a crystal structure of LaNdPb2 with its computed X-ray diffraction stick pattern. Radiation: Cu Kα X-rays. Structure: a cell relaxed with GGA-PBE.
No peak broadening, texture or thermal motion is included.

Most intense lines, 10° ≤ 2θ ≤ 90°, in order of falling intensity:
(hkl), 2theta, d_spacing, I (rel.)
1 1 -1, 28.08, 3.178, 100.0
1 1 1, 35.18, 2.551, 93.7
0 0 2, 29.52, 3.026, 37.7
2 0 -1, 37.86, 2.377, 28.4
0 2 0, 39.46, 2.283, 25.4
2 0 -3, 48.72, 1.869, 19.2
2 2 -1, 55.84, 1.647, 18.7
0 2 2, 50.04, 1.823, 17.8
2 2 -3, 64.42, 1.446, 16.7
0 1 2, 35.59, 2.523, 15.9
3 1 0, 66.64, 1.403, 15.0
1 1 3, 60.47, 1.531, 13.8

Structure:
```
data_LaNdPb2
_chemical_formula_sum 'La1 Nd1 Pb2'
_symmetry_space_group_name_H-M 'P 1 m 1'
_symmetry_Int_Tables_number 6
_symmetry_space_group_name_Hall 'P -2y'
_cell_length_a 4.7530
_cell_length_b 4.5669
_cell_length_c 6.4997
_cell_angle_alpha 90.00
_cell_angle_beta 111.38
_cell_angle_gamma 90.00
loop_
_atom_site_label
_atom_site_type_symbol
_atom_site_fract_x
_atom_site_fract_y
_atom_site_fract_z
La1 La 0.0000 0.0000 0.0000
Nd1 Nd 0.7362 0.5000 0.4688
Pb1 Pb 0.2726 0.0000 0.5416
Pb2 Pb 0.4606 0.5000 0.9210
```



Entry 3:
This entry pairs a crystal structure of HoTcGe with its computed X-ray diffraction stick pattern. Radiation: Cu Kα X-rays. Structure: a cell relaxed with GGA-PBE.
No peak broadening, texture or thermal motion is included.

Most intense lines, 10° ≤ 2θ ≤ 90°, in order of falling intensity:
(hkl), 2theta, d_spacing, I (rel.)
1 1 4, 40.35, 2.235, 100.0
1 1 2, 33.61, 2.666, 56.5
2 0 0, 44.54, 2.034, 54.9
1 0 3, 28.94, 3.086, 39.7
3 1 4, 79.19, 1.210, 27.2
1 1 0, 31.09, 2.877, 24.2
2 0 6, 59.96, 1.543, 23.1
0 0 6, 38.01, 2.368, 22.0
2 2 0, 64.82, 1.438, 17.7
1 0 5, 38.65, 2.329, 17.1
2 1 9, 80.57, 1.192, 15.8
1 0 9, 63.19, 1.472, 15.8

Structure:
```
data_HoTcGe
_chemical_formula_sum 'Ho4 Tc4 Ge4'
_symmetry_space_group_name_H-M 'I 4/m m m'
_symmetry_Int_Tables_number 139
_symmetry_space_group_name_Hall '-I 4 2'
_cell_length_a 4.0682
_cell_length_b 4.0682
_cell_length_c 14.2055
_cell_angle_alpha 90.00
_cell_angle_beta 90.00
_cell_angle_gamma 90.00
loop_
_atom_site_label
_atom_site_type_symbol
_atom_site_fract_x
_atom_site_fract_y
_atom_site_fract_z
Ho1 Ho 0.0000 0.0000 0.1595
Tc1 Tc 0.0000 0.5000 0.0000
Ge1 Ge 0.0000 0.0000 0.3803
```